Entry 1:
# NdY3Te6
Simulated powder X-ray diffraction pattern, Cu Kα. Input: a DFT-relaxed cell (PBE, Alexandria).

Peak list (6 most intense, 2θ from 10° to 80°, most intense first)
2theta, intensity, (hkl)
27.7, 100.0, 2 1 1
28.2, 68.6, 2 0 -4
30.5, 67.8, 3 1 0
41.1, 63.5, 0 2 0
37.3, 56.4, 4 1 -3
25.0, 37.3, 0 1 2

Cell and atoms:
Cell: 12.524 4.394 12.873 Å, 90.00 109.34 90.00°
Space group P2_1/m (No. 11)
Symmetry-distinct sites (fractional):
Nd 0.047 0.250 0.197 [2 per cell]
Y 0.155 0.250 0.582 [2 per cell]
Y 0.317 0.750 0.998 [2 per cell]
Y 0.435 0.250 0.334 [2 per cell]
Te 0.085 0.750 0.403 [2 per cell]
Te 0.115 0.250 0.968 [2 per cell]
Te 0.195 0.750 0.750 [2 per cell]
Te 0.257 0.750 0.222 [2 per cell]
Te 0.392 0.250 0.560 [2 per cell]
Te 0.483 0.250 0.117 [2 per cell]


Entry 2:
# Pm2Hg8Au
Simulated powder X-ray diffraction pattern, Cu Kα. Input: a DFT-relaxed cell (PBE, Alexandria).

Peak list (6 most intense, 2θ from 10° to 80°, most intense first)
2theta, intensity, (hkl)
34.4, 100.0, 1 1 3
37.6, 47.1, 2 0 0
65.8, 31.2, 3 1 3
54.2, 16.6, 2 2 0
30.1, 12.2, 1 1 2
59.3, 11.8, 2 0 6

Cell and atoms:
Cell: 4.783 4.783 12.310 Å, 90.00 90.00 90.00°
Space group P4/mmm (No. 123)
Symmetry-distinct sites (fractional):
Pm 0.000 0.000 0.195 [2 per cell]
Hg 0.000 0.500 0.000 [2 per cell]
Hg 0.000 0.500 0.365 [4 per cell]
Hg 0.500 0.500 0.176 [2 per cell]
Au 0.000 0.000 0.500 [1 per cell]